(1)
The following is a theoretical XRD peak list of Y2SeS2. It was derived from the GGA-PBE geometry in Alexandria, using a wavelength of 1.5418 Å.

```
Y2SeS2
1.0
4.7798 -5.0687 0.0000
4.7798 5.0687 0.0000
-3.2755 0.0000 5.3955
Y Se S
4 2 4
Cartesian
2.3231 4.0893 4.0466 Y
3.9609 1.6389 1.3489 Y
2.3231 -1.6389 4.0466 Y
3.9609 -4.0893 1.3489 Y
2.3231 1.3002 4.0466 Se
3.9609 -1.3002 1.3489 Se
1.5479 1.1315 0.1241 S
-0.0899 -1.1315 2.8218 S
6.3739 1.1315 2.5737 S
4.7362 -1.1315 5.2714 S
```

Principal peaks in the range 10 to 90 degrees two-theta, by intensity:
d [Å], Rel. int.
3.116, 100.0
4.086, 98.2
2.534, 38.4
2.302, 38.3
2.497, 35.9
1.966, 29.6
3.694, 28.6
2.698, 25.5
1.852, 20.0
1.349, 19.6

=====

(2)
The following is a theoretical XRD peak list of Hg3Ge. It was derived from the GGA-PBE geometry in Alexandria, using a wavelength of 1.5418 Å.

```
Hg3Ge
1.0
6.7014 0.0000 0.0000
-3.3507 5.8036 0.0000
0.0000 0.0000 4.8758
Hg Ge
6 2
Cartesian
0.0000 1.9785 1.2189 Hg
-1.6372 4.8143 1.2189 Hg
1.7135 0.9893 3.6568 Hg
1.6372 4.8143 1.2189 Hg
4.9880 0.9893 3.6568 Hg
3.3507 3.8251 3.6568 Hg
0.0000 3.8691 3.6568 Ge
3.3507 1.9345 1.2189 Ge
```

Principal peaks in the range 10 to 90 degrees two-theta, by intensity:
d [Å], Rel. int.
2.494, 100.0
2.902, 25.0
1.381, 21.3
2.438, 21.0
1.675, 20.1
1.418, 17.6
1.391, 16.3
1.867, 14.3
3.733, 11.2
3.351, 4.8

=====

(3)
The following is a theoretical XRD peak list of Ba2HfPb6. It was derived from the GGA-PBE geometry in Alexandria, using a wavelength of 1.5418 Å.

```
Ba2HfPb6
1.0
3.7592 2.1704 6.1249
-3.7592 2.1704 6.1249
0.0000 -4.3408 6.1249
Ba Hf Pb
2 1 6
Cartesian
0.0000 0.0000 4.5839 Ba
0.0000 0.0000 13.7907 Ba
0.0000 0.0000 0.0000 Hf
0.0000 -1.9140 7.8265 Pb
-1.6576 0.9570 7.8265 Pb
-1.6576 -0.9570 10.5481 Pb
1.6576 0.9570 7.8265 Pb
1.6576 -0.9570 10.5481 Pb
0.0000 1.9140 10.5481 Pb
```

Principal peaks in the range 10 to 90 degrees two-theta, by intensity:
d [Å], Rel. int.
3.067, 100.0
2.656, 82.3
1.878, 52.6
2.438, 29.5
1.602, 24.1
5.312, 21.4
2.045, 19.9
1.384, 15.0
3.203, 12.7
1.534, 11.8